(1)
Structure and calculated powder diffraction line list of Mg2Hg2Br (a DFT-relaxed cell (PBE, Alexandria); Cu Kα (weighted mean of Kα1 and Kα2)).
Lines closer than 0.1° are merged.

Largest 8 diffraction maxima, most intense first, 15° ≤ 2θ ≤ 90°:
Position (°2θ), Rel. int., (hkl)
34.79, 100, 2 1 1
24.15, 75, 2 1 0
29.10, 56, 1 1 1
34.41, 47, 3 1 0
51.04, 37, 4 0 1
47.06, 30, 3 2 1
39.42, 28, 3 2 0
15.20, 25, 1 1 0

Structure:
```
data_Mg2Hg2Br
_space_group_name_H-M_alt 'P 4/m b m'
_space_group_IT_number 127
_space_group_name_Hall '-P 4 2ab'
_cell_length_a 8.241
_cell_length_b 8.241
_cell_length_c 3.610
_cell_angle_alpha 90.00
_cell_angle_beta 90.00
_cell_angle_gamma 90.00
loop_
_atom_site_label
_atom_site_type_symbol
_atom_site_fract_x
_atom_site_fract_y
_atom_site_fract_z
Mg1 Mg 0.180 0.320 0.000
Hg1 Hg 0.126 0.626 0.500
Br1 Br 0.000 0.000 0.000
```



(2)
Structure and calculated powder diffraction line list of MnHg2Br (a DFT-relaxed cell (PBE, Alexandria); Cu Kα (weighted mean of Kα1 and Kα2)).
Lines closer than 0.1° are merged.

Largest 8 diffraction maxima, most intense first, 15° ≤ 2θ ≤ 90°:
Position (°2θ), Rel. int., (hkl)
33.80, 100, 1 1 0
28.00, 88, 1 0 -2
35.46, 54, 0 1 2
28.20, 27, 0 1 1
37.45, 23, 1 0 2
52.13, 23, 0 2 0
55.68, 22, 1 1 -4
42.94, 22, 2 0 -1

Structure:
```
data_MnHg2Br
_space_group_name_H-M_alt 'P 1 m 1'
_space_group_IT_number 6
_space_group_name_Hall 'P -2y'
_cell_length_a 4.212
_cell_length_b 3.511
_cell_length_c 7.599
_cell_angle_alpha 90.00
_cell_angle_beta 105.95
_cell_angle_gamma 90.00
loop_
_atom_site_label
_atom_site_type_symbol
_atom_site_fract_x
_atom_site_fract_y
_atom_site_fract_z
Mn1 Mn 0.000 0.000 0.000
Hg1 Hg 0.199 0.000 0.401
Hg2 Hg 0.565 0.500 0.132
Br1 Br 0.870 0.500 0.740
```



Copy entry 1 word for word.
Structure and calculated powder diffraction line list of Mg2Hg2Br (a DFT-relaxed cell (PBE, Alexandria); Cu Kα (weighted mean of Kα1 and Kα2)).
Lines closer than 0.1° are merged.

Largest 8 diffraction maxima, most intense first, 15° ≤ 2θ ≤ 90°:
Position (°2θ), Rel. int., (hkl)
34.79, 100, 2 1 1
24.15, 75, 2 1 0
29.10, 56, 1 1 1
34.41, 47, 3 1 0
51.04, 37, 4 0 1
47.06, 30, 3 2 1
39.42, 28, 3 2 0
15.20, 25, 1 1 0

Structure:
```
data_Mg2Hg2Br
_space_group_name_H-M_alt 'P 4/m b m'
_space_group_IT_number 127
_space_group_name_Hall '-P 4 2ab'
_cell_length_a 8.241
_cell_length_b 8.241
_cell_length_c 3.610
_cell_angle_alpha 90.00
_cell_angle_beta 90.00
_cell_angle_gamma 90.00
loop_
_atom_site_label
_atom_site_type_symbol
_atom_site_fract_x
_atom_site_fract_y
_atom_site_fract_z
Mg1 Mg 0.180 0.320 0.000
Hg1 Hg 0.126 0.626 0.500
Br1 Br 0.000 0.000 0.000
```